No. 1
The following is a computed powder XRD pattern of MgZn2. It was derived from a GGA-PBE-relaxed structure, using Cu Ka.

Structure:
Unit cell a=5.605 b=5.605 c=6.785 alpha=106.88 beta=106.88 gamma=30.46
Atoms (fractional coordinates):
Mg  0.188  0.188  0.145
Mg  0.812  0.812  0.855
Zn  0.133  0.133  0.522
Zn  0.469  0.469  0.205
Zn  0.531  0.531  0.795
Zn  0.867  0.867  0.478

Most intense lines, 10° ≤ 2θ ≤ 90°, low angle first:
2θ/deg	d (Å)	intensity
13.7	6.471	39
17.2	5.157	33
35.6	2.518	49
37.5	2.399	80
40.3	2.236	93
40.6	2.224	100
41.4	2.180	49
41.9	2.157	43
52.5	1.743	20
65.8	1.420	28
69.9	1.345	29
78.7	1.216	30

***

No. 2
The following is a computed powder XRD pattern of MgBi4O10. It was derived from a GGA-PBE-relaxed structure, using Cu Ka.

Structure:
Unit cell a=10.731 b=6.048 c=6.048 alpha=40.16 beta=90.00 gamma=90.00
Atoms (fractional coordinates):
Mg  0.000  0.000  0.000
Bi  0.184  0.743  0.743
Bi  0.310  0.474  0.474
Bi  0.690  0.474  0.474
Bi  0.816  0.743  0.743
O  0.000  0.823  0.823
O  0.115  0.563  0.563
O  0.197  0.290  0.290
O  0.237  0.933  0.933
O  0.356  0.660  0.660
O  0.500  0.424  0.424
O  0.644  0.660  0.660
O  0.763  0.933  0.933
O  0.803  0.290  0.290
O  0.885  0.563  0.563

Most intense lines, 10° ≤ 2θ ≤ 90°, low angle first:
2θ/deg	d (Å)	intensity
16.5	5.366	100
17.7	5.020	43
22.8	3.901	96
24.3	3.666	35
28.3	3.155	46
29.5	3.027	85
31.5	2.840	42
32.0	2.798	42
34.0	2.636	51
48.4	1.880	29
52.6	1.741	31
53.5	1.712	36

***

No. 3
The following is a computed powder XRD pattern of CrFe3As4. It was derived from a GGA-PBE-relaxed structure, using Cu Ka.

Structure:
Unit cell a=5.384 b=3.454 c=6.038 alpha=90.00 beta=90.08 gamma=90.00
Atoms (fractional coordinates):
Cr  0.000  0.000  0.000
Fe  0.006  0.500  0.604
Fe  0.506  0.000  0.090
Fe  0.506  0.500  0.500
As  0.210  0.500  0.221
As  0.309  0.000  0.709
As  0.691  0.500  0.873
As  0.795  0.000  0.385

Most intense lines, 10° ≤ 2θ ≤ 90°, low angle first:
2θ/deg	d (Å)	intensity
34.0	2.633	50
34.2	2.619	100
42.6	2.123	15
43.2	2.094	36
45.1	2.010	15
45.2	2.005	65
45.3	2.002	34
52.6	1.739	47
53.0	1.727	31
53.3	1.720	17
64.5	1.444	15
72.1	1.310	16

***

No. 4
The following is a computed powder XRD pattern of ErAgSe2. It was derived from a GGA-PBE-relaxed structure, using Cu Ka.

Structure:
Unit cell a=4.246 b=6.822 c=13.744 alpha=90.00 beta=90.00 gamma=90.00
Atoms (fractional coordinates):
Er  0.222  0.207  0.372
Er  0.278  0.793  0.872
Er  0.722  0.293  0.628
Er  0.778  0.707  0.128
Ag  0.007  0.706  0.374
Ag  0.493  0.294  0.874
Ag  0.507  0.794  0.626
Ag  0.993  0.206  0.126
Se  0.223  0.089  0.726
Se  0.229  0.488  0.527
Se  0.271  0.512  0.027
Se  0.277  0.911  0.226
Se  0.723  0.411  0.274
Se  0.729  0.012  0.473
Se  0.771  0.988  0.973
Se  0.777  0.589  0.774

Most intense lines, 10° ≤ 2θ ≤ 90°, low angle first:
2θ/deg	d (Å)	intensity
24.6	3.612	37
27.9	3.192	100
31.6	2.833	51
32.7	2.736	35
34.3	2.611	27
36.2	2.480	62
37.1	2.421	95
39.2	2.300	27
41.3	2.186	30
45.0	2.016	45
45.2	2.005	57
49.1	1.854	33